Entry 1:
BaTlW: computed PXRD pattern (copper Kα), based on a cell relaxed with GGA-PBE.

Top 10 peaks for 2θ = 10–80°, by angle:
2theta	Rel. int.
14.38	60
28.99	31
30.37	88
34.75	100
35.13	60
37.79	24
42.85	28
45.87	35
56.61	53
73.31	23

Structural model:
```
BaTlW
1.0
-1.6313 2.1105 6.1602
1.6313 -2.1105 6.1602
1.6313 2.1105 -6.1602
Ba Tl W
1 1 1
direct
0.0000 0.0000 0.0000
0.7166 0.7166 0.0000
0.3011 0.3011 0.0000
```

=====

Entry 2:
Pu3Cd4Hg2: computed PXRD pattern (copper Kα), based on a cell relaxed with GGA-PBE.

Top 10 peaks for 2θ = 10–80°, by angle:
2theta	Rel. int.
18.29	4
19.83	11
34.71	98
35.15	100
50.23	37
59.47	7
62.21	18
62.49	38
70.73	25
73.24	11

Structural model:
```
Pu3Cd4Hg2
1.0
4.4746 -7.7575 0.0000
4.4746 7.7575 0.0000
0.0000 0.0000 6.2172
Pu Cd Hg
6 8 4
direct
0.0000 0.0000 0.2500
0.0000 0.0000 0.7500
0.3306 0.6694 0.2500
0.3306 0.6694 0.7500
0.6694 0.3306 0.2500
0.6694 0.3306 0.7500
0.0037 0.3359 0.0000
0.3350 0.3371 0.0000
0.3359 0.0037 0.5000
0.3371 0.3350 0.5000
0.6629 0.6650 0.5000
0.6641 0.9963 0.5000
0.6650 0.6629 0.0000
0.9963 0.6641 0.0000
0.0012 0.3304 0.5000
0.3304 0.0012 0.0000
0.6696 0.9988 0.0000
0.9988 0.6696 0.5000
```

=====

Entry 3:
VZnI: computed PXRD pattern (copper Kα), based on a cell relaxed with GGA-PBE.

Top 10 peaks for 2θ = 10–80°, by angle:
2theta	Rel. int.
26.91	30
29.90	17
30.66	88
32.87	28
36.29	100
40.66	71
53.07	44
57.64	32
60.49	19
65.99	17

Structural model:
```
VZnI
1.0
13.2517 0.0000 0.0000
0.0000 1.7257 2.9887
0.0000 -1.7257 2.9887
V Zn I
2 2 2
direct
0.0000 0.0000 0.0000
0.5000 0.0012 0.0012
0.3653 0.6678 0.6678
0.6347 0.6678 0.6678
0.1406 0.3333 0.3333
0.8594 0.3333 0.3333
```